Computed XRD peak list
Compound: Al8Zn3CoO16
Radiation: Cu Kα X-rays
Structure: DFT lattice parameters and positions (GGA+U)
Neutral-atom scattering factors, no anomalous dispersion.

Structure:
abc: 5.783 5.783 8.180
angles: 90.00 90.00 90.00
Fractional coordinates of all 28 atoms:
Al1 0.000 0.250 0.375
Al2 0.000 0.750 0.375
Al3 0.250 0.000 0.625
Al4 0.250 0.500 0.125
Al5 0.500 0.250 0.875
Al6 0.500 0.750 0.875
Al7 0.750 0.000 0.625
Al8 0.750 0.500 0.125
Zn1 0.000 0.000 0.000
Zn2 0.000 0.500 0.750
Zn3 0.500 0.000 0.250
Co1 0.500 0.500 0.500
O1 0.000 0.221 0.610
O2 0.000 0.279 0.139
O3 0.000 0.721 0.139
O4 0.000 0.779 0.610
O5 0.221 0.000 0.390
O6 0.221 0.500 0.360
O7 0.279 0.000 0.861
O8 0.279 0.500 0.889
O9 0.500 0.221 0.640
O10 0.500 0.279 0.111
O11 0.500 0.721 0.111
O12 0.500 0.779 0.640
O13 0.721 0.000 0.861
O14 0.721 0.500 0.889
O15 0.779 0.000 0.390
O16 0.779 0.500 0.360

Peak list (10 most intense, 10° ≤ 2θ ≤ 90°, most intense first)
2θ (°)  I_rel  index
36.43  100  2 1 1
30.92  75  2 0 0
64.44  48  4 0 0
58.65  43  3 2 1
55.00  25  3 1 2
89.71  14  5 1 2
76.35  11  4 1 3
48.52  10  3 0 1
73.18  9  4 2 0
44.30  5  2 2 0